This entry pairs a crystal structure of KMg14Mo with its computed X-ray diffraction stick pattern. Radiation: Cu Kα (weighted mean of Kα1 and Kα2). Structure: DFT lattice parameters and positions (GGA-PBE).
Intensities are scaled so that the largest is 100.

The 10 most intense peaks (2θ = 15–90°), low angle first:
15.8 deg, rel. 18, hkl 1 0 0; 23.4 deg, rel. 13, hkl 1 0 2; 32.0 deg, rel. 27, hkl 2 0 0; 34.6 deg, rel. 23, hkl 0 0 4; 36.5 deg, rel. 100, hkl 2 0 2; 47.8 deg, rel. 16, hkl 2 0 4; 57.0 deg, rel. 17, hkl 2 2 0; 63.3 deg, rel. 15, hkl 2 0 6; 68.4 deg, rel. 17, hkl 2 2 4; 69.6 deg, rel. 14, hkl 4 0 2

Cell and atoms:
Unit cell a=6.4632 b=6.4632 c=10.3623 alpha=90.00 beta=90.00 gamma=120.00
Space group P-6m2 (No. 187)
Symmetry-distinct sites (fractional):
K  0.0000  0.0000  0.0000 (multiplicity 1)
Mg  0.0109  0.5054  0.0000 (multiplicity 3)
Mg  0.1638  0.3276  0.2740 (multiplicity 6)
Mg  0.5043  0.0086  0.5000 (multiplicity 3)
Mg  0.6667  0.3333  0.2403 (multiplicity 2)
Mo  0.0000  0.0000  0.5000 (multiplicity 1)